Computed PXRD pattern of Li2Mn2P2O9 for a wavelength of 1.5418 Å, from DFT lattice parameters and positions (GGA+U).

Crystal structure
Cell lengths 8.3807, 5.6484, 15.0417 Å; angles 90.00, 90.00, 90.00 degrees
Positions (direct):
Li: 0.0595 0.2500 0.1292
Li: 0.0603 0.2500 0.7599
Li: 0.4397 0.7500 0.2599
Li: 0.4405 0.7500 0.6292
Li: 0.5595 0.2500 0.3708
Li: 0.5603 0.2500 0.7401
Li: 0.9397 0.7500 0.2401
Li: 0.9405 0.7500 0.8708
Mn: 0.0000 0.0000 0.5000
Mn: 0.0000 0.5000 0.5000
Mn: 0.2039 0.2500 0.9392
Mn: 0.2961 0.7500 0.4392
Mn: 0.5000 0.0000 0.0000
Mn: 0.5000 0.5000 0.0000
Mn: 0.7039 0.2500 0.5608
Mn: 0.7961 0.7500 0.0608
P: 0.1690 0.7500 0.0768
P: 0.2099 0.2500 0.3348
P: 0.2901 0.7500 0.8348
P: 0.3310 0.2500 0.5768
P: 0.6690 0.7500 0.4232
P: 0.7099 0.2500 0.1652
P: 0.7901 0.7500 0.6652
P: 0.8310 0.2500 0.9232
O: 0.0092 0.7500 0.0221
O: 0.0689 0.7500 0.4254
O: 0.0749 0.2500 0.4111
O: 0.1263 0.2500 0.2474
O: 0.1422 0.7500 0.1759
O: 0.1798 0.5272 0.8504
O: 0.1798 0.9728 0.8504
O: 0.2414 0.0175 0.5471
O: 0.2414 0.4825 0.5471
O: 0.2586 0.5175 0.0471
O: 0.2586 0.9825 0.0471
O: 0.3202 0.0272 0.3504
O: 0.3202 0.4728 0.3504
O: 0.3578 0.2500 0.6759
O: 0.3737 0.7500 0.7474
O: 0.4251 0.7500 0.9111
O: 0.4311 0.2500 0.9254
O: 0.4908 0.2500 0.5221
O: 0.5092 0.7500 0.4779
O: 0.5689 0.7500 0.0746
O: 0.5749 0.2500 0.0889
O: 0.6263 0.2500 0.2526
O: 0.6422 0.7500 0.3241
O: 0.6798 0.5272 0.6496
O: 0.6798 0.9728 0.6496
O: 0.7414 0.0175 0.9529
O: 0.7414 0.4825 0.9529
O: 0.7586 0.5175 0.4529
O: 0.7586 0.9825 0.4529
O: 0.8202 0.0272 0.1496
O: 0.8202 0.4728 0.1496
O: 0.8578 0.2500 0.8241
O: 0.8737 0.7500 0.7526
O: 0.9251 0.7500 0.5889
O: 0.9311 0.2500 0.5746
O: 0.9908 0.2500 0.9779

Peak list (8 most intense, 2θ = 10–80°, in order of rising 2θ)
| 2theta | Rel. int. | (hkl) |
| --- | --- | --- |
| 11.8 | 100.0 | 0 0 2 |
| 15.8 | 19.5 | 1 0 2 |
| 20.6 | 12.1 | 1 0 3 |
| 23.7 | 25.8 | 0 1 3 |
| 26.0 | 18.5 | 1 1 3 |
| 32.0 | 16.8 | 2 0 4 |
| 32.6 | 17.1 | 3 0 1 |
| 33.8 | 12.1 | 0 1 5 |


Computed PXRD pattern of LiMnPO4 for a wavelength of 1.5418 Å, from DFT lattice parameters and positions (GGA+U).

Crystal structure
Cell lengths 5.6966, 6.3334, 9.3207 Å; angles 76.75, 84.48, 75.06 degrees
Positions (direct):
Li: 0.1295 0.4819 0.2422
Li: 0.2680 0.6445 0.6158
Li: 0.7320 0.3555 0.3842
Li: 0.8705 0.5181 0.7578
Mn: 0.2365 0.8341 0.9113
Mn: 0.3449 0.9324 0.3034
Mn: 0.6551 0.0676 0.6966
Mn: 0.7635 0.1659 0.0887
P: 0.1754 0.1869 0.5718
P: 0.2962 0.3106 0.9453
P: 0.7038 0.6894 0.0547
P: 0.8246 0.8131 0.4282
O: 0.0832 0.7228 0.3632
O: 0.1073 0.1717 0.9432
O: 0.1454 0.1897 0.4065
O: 0.1941 0.5455 0.8475
O: 0.2923 0.9447 0.6603
O: 0.3448 0.3170 0.1052
O: 0.3563 0.3284 0.5835
O: 0.4480 0.8006 0.1156
O: 0.5520 0.1994 0.8844
O: 0.6437 0.6716 0.4165
O: 0.6552 0.6830 0.8948
O: 0.7077 0.0553 0.3397
O: 0.8059 0.4545 0.1525
O: 0.8546 0.8103 0.5935
O: 0.8927 0.8283 0.0568
O: 0.9168 0.2772 0.6368

Peak list (8 most intense, 2θ = 10–80°, in order of rising 2θ)
| 2theta | Rel. int. | (hkl) |
| --- | --- | --- |
| 14.8 | 100.0 | 0 1 0 |
| 21.9 | 52.1 | 0 1 2 |
| 25.0 | 49.2 | 1 0 2 |
| 32.2 | 48.5 | 0 2 2 |
| 32.5 | 98.8 | 2 0 0 |
| 33.2 | 48.8 | 1 -1 2 |
| 34.1 | 55.9 | 1 2 -1 |
| 34.4 | 64.0 | 1 0 -3 |


Computed PXRD pattern of LiMnPO4 for a wavelength of 1.5418 Å, from DFT lattice parameters and positions (GGA+U).

Crystal structure
Cell lengths 5.9812, 10.2922, 10.0973 Å; angles 90.00, 93.56, 90.00 degrees
Positions (direct):
Li: 0.1286 0.0923 0.2199
Li: 0.1286 0.4077 0.7199
Li: 0.3581 0.6018 0.5222
Li: 0.3581 0.8982 0.0222
Li: 0.6419 0.1018 0.9778
Li: 0.6419 0.3982 0.4778
Li: 0.8714 0.5923 0.2801
Li: 0.8714 0.9077 0.7801
Mn: 0.1264 0.6453 0.8585
Mn: 0.1264 0.8547 0.3585
Mn: 0.3786 0.1692 0.6320
Mn: 0.3786 0.3308 0.1320
Mn: 0.6214 0.6692 0.8680
Mn: 0.6214 0.8308 0.3680
Mn: 0.8736 0.1453 0.6415
Mn: 0.8736 0.3547 0.1415
P: 0.1252 0.1457 0.9025
P: 0.1252 0.3543 0.4025
P: 0.3700 0.6081 0.1531
P: 0.3700 0.8919 0.6531
P: 0.6300 0.1081 0.3469
P: 0.6300 0.3919 0.8469
P: 0.8748 0.6457 0.5975
P: 0.8748 0.8543 0.0975
O: 0.0964 0.5712 0.6333
O: 0.0964 0.9288 0.1333
O: 0.0988 0.2313 0.0286
O: 0.0988 0.2687 0.5286
O: 0.1516 0.2346 0.7783
O: 0.1516 0.2654 0.2783
O: 0.1592 0.5183 0.1362
O: 0.1592 0.9817 0.6362
O: 0.3322 0.0602 0.9231
O: 0.3322 0.4398 0.4231
O: 0.3612 0.7015 0.2744
O: 0.3612 0.7985 0.7744
O: 0.3797 0.6923 0.0230
O: 0.3797 0.8077 0.5230
O: 0.4197 0.0174 0.3324
O: 0.4197 0.4826 0.8324
O: 0.5803 0.5174 0.1676
O: 0.5803 0.9826 0.6676
O: 0.6203 0.1923 0.4770
O: 0.6203 0.3077 0.9770
O: 0.6388 0.2015 0.2256
O: 0.6388 0.2985 0.7256
O: 0.6678 0.5602 0.5769
O: 0.6678 0.9398 0.0769
O: 0.8408 0.0183 0.3638
O: 0.8408 0.4817 0.8638
O: 0.8484 0.7346 0.7217
O: 0.8484 0.7654 0.2217
O: 0.9012 0.7313 0.4714
O: 0.9012 0.7687 0.9714
O: 0.9036 0.0712 0.8667
O: 0.9036 0.4288 0.3667

Peak list (8 most intense, 2θ = 10–80°, in order of rising 2θ)
| 2theta | Rel. int. | (hkl) |
| --- | --- | --- |
| 12.3 | 56.2 | 0 1 1 |
| 19.4 | 90.2 | 0 2 1 |
| 19.7 | 50.2 | 1 1 1 |
| 24.1 | 100.0 | 1 2 -1 |
| 27.9 | 61.4 | 0 1 3 |
| 31.6 | 48.5 | 1 3 1 |
| 31.8 | 55.1 | 0 2 3 |
| 40.1 | 45.0 | 2 2 2 |